For In5Sb3, a structure optimized by DFT (GGA-PBE) gives the calculated powder X-ray diffraction pattern in this record (Cu Kα, 1.54184 Å).

Structural model:
Cell: 9.2600 9.2600 6.4607 Å, 90.00 90.00 120.00°
Atoms (fractional coordinates):
In 0.0000 0.3076 0.2500
In 0.0000 0.6924 0.7500
In 0.3076 0.0000 0.2500
In 0.3076 0.3076 0.7500
In 0.3333 0.6667 0.0000
In 0.3333 0.6667 0.5000
In 0.6667 0.3333 0.0000
In 0.6667 0.3333 0.5000
In 0.6924 0.0000 0.7500
In 0.6924 0.6924 0.2500
Sb 0.0000 0.3450 0.7500
Sb 0.0000 0.6550 0.2500
Sb 0.3450 0.0000 0.7500
Sb 0.3450 0.3450 0.2500
Sb 0.6550 0.0000 0.2500
Sb 0.6550 0.6550 0.7500

Principal peaks in the range 2θ = 10–80°, in order of rising 2θ:
d (Å), Position (°2θ), I_rel
8.019, 11.03, 16
3.230, 27.61, 15
2.673, 33.52, 100
2.649, 33.83, 80
2.059, 43.97, 22
1.882, 48.37, 27
1.543, 59.94, 16
1.539, 60.14, 26
1.382, 67.79, 25
1.337, 70.45, 9

---

For In4Sb, a structure optimized by DFT (GGA-PBE) gives the calculated powder X-ray diffraction pattern in this record (Cu Kα, 1.54184 Å).

Structural model:
Cell: 8.8479 8.8479 8.8479 Å, 152.67 152.67 39.04°
Atoms (fractional coordinates):
In 0.0928 0.0928 0.0000
In 0.2500 0.7500 0.5000
In 0.7500 0.2500 0.5000
In 0.9072 0.9072 0.0000
Sb 0.5000 0.5000 0.0000

Principal peaks in the range 2θ = 10–80°, in order of rising 2θ:
d (Å), Position (°2θ), I_rel
3.341, 26.68, 19
2.786, 32.13, 100
2.607, 34.39, 45
2.412, 37.29, 22
2.090, 43.28, 33
2.070, 43.73, 12
1.631, 56.42, 21
1.477, 62.91, 18
1.453, 64.11, 18
1.306, 72.38, 20

---

For Sc4InSb2, a structure optimized by DFT (GGA-PBE) gives the calculated powder X-ray diffraction pattern in this record (Cu Kα, 1.54184 Å).

Structural model:
Cell: 7.8677 7.8677 7.8677 Å, 108.69 108.69 111.04°
Atoms (fractional coordinates):
Sc 0.1855 0.2494 0.5639
Sc 0.1855 0.6216 0.9361
Sc 0.2494 0.1855 0.0639
Sc 0.3784 0.8145 0.5639
Sc 0.6216 0.1855 0.4361
Sc 0.7506 0.8145 0.9361
Sc 0.8145 0.3784 0.0639
Sc 0.8145 0.7506 0.4361
In 0.1250 0.8750 0.2500
In 0.8750 0.1250 0.7500
Sb 0.0000 0.5000 0.5000
Sb 0.5000 0.0000 0.0000
Sb 0.5000 0.5000 0.0000
Sb 0.5000 0.5000 0.5000

Principal peaks in the range 2θ = 10–80°, in order of rising 2θ:
d (Å), Position (°2θ), I_rel
4.586, 19.36, 40
3.726, 23.88, 96
3.243, 27.51, 51
2.825, 31.67, 100
2.446, 36.74, 97
2.431, 36.99, 34
2.293, 39.29, 60
2.130, 42.44, 33
1.836, 49.66, 38
1.215, 78.74, 30

---

For InSb2Se, a structure optimized by DFT (GGA-PBE) gives the calculated powder X-ray diffraction pattern in this record (Cu Kα, 1.54184 Å).

Structural model:
Cell: 4.1775 4.1788 8.1698 Å, 75.46 75.51 60.05°
Atoms (fractional coordinates):
In 0.0000 0.0000 0.0000
Sb 0.5008 0.5033 0.4916
Sb 0.7660 0.7678 0.7032
Se 0.2765 0.2759 0.1752

Principal peaks in the range 2θ = 10–80°, in order of rising 2θ:
d (Å), Position (°2θ), I_rel
3.910, 22.74, 11
3.085, 28.94, 100
3.071, 29.08, 50
2.285, 39.44, 18
2.275, 39.61, 36
2.090, 43.30, 52
1.730, 52.93, 18
1.728, 53.00, 9
1.542, 59.98, 10
1.333, 70.65, 15